Theoretical powder XRD pattern
Compound: TlNi9
Radiation: copper Kα
Structure: a cell relaxed with GGA-PBE

Structure:
```
data_TlNi9
_chemical_formula_sum 'Tl2 Ni18'
_cell_length_a 2.645
_cell_length_b 2.645
_cell_length_c 44.184
_cell_angle_alpha 90.00
_cell_angle_beta 90.00
_cell_angle_gamma 90.00
_symmetry_space_group_name_H-M 'P 4/n m m'
_symmetry_Int_Tables_number 129
loop_
_symmetry_equiv_pos_as_xyz
'x,y,z'
'-x,-y,-z'
'-y+1/2,x,z'
'y+1/2,-x,-z'
'-x+1/2,-y+1/2,z'
'x+1/2,y+1/2,-z'
'y,-x+1/2,z'
'-y,x+1/2,-z'
'x+1/2,-y,-z'
'-x+1/2,y,z'
'-y,-x,-z'
'y,x,z'
'-x,y+1/2,-z'
'x,-y+1/2,z'
'y+1/2,x+1/2,-z'
'-y+1/2,-x+1/2,z'
loop_
_atom_site_label
_atom_site_type_symbol
_atom_site_fract_x
_atom_site_fract_y
_atom_site_fract_z
Tl1 Tl 0.250 0.250 0.142
Ni1 Ni 0.250 0.250 0.230
Ni2 Ni 0.250 0.250 0.302
Ni3 Ni 0.250 0.250 0.375
Ni4 Ni 0.250 0.250 0.446
Ni5 Ni 0.250 0.250 0.518
Ni6 Ni 0.250 0.250 0.589
Ni7 Ni 0.250 0.250 0.662
Ni8 Ni 0.250 0.250 0.734
Ni9 Ni 0.250 0.250 0.806
```

Principal peaks in the range 5 to 70 degrees two-theta, sorted by position:
| 2θ (°) | Rel. int. | hkl |
| --- | --- | --- |
| 6.00 | 100 | 0 0 3 |
| 8.00 | 23 | 0 0 4 |
| 12.02 | 9 | 0 0 6 |
| 14.03 | 15 | 0 0 7 |
| 34.14 | 9 | 1 0 2 |
| 38.67 | 12 | 1 0 9 |
| 42.06 | 16 | 1 0 12 |
| 43.35 | 35 | 1 0 13 |
| 44.71 | 47 | 1 0 14 |
| 48.69 | 36 | 1 1 0 |